This entry pairs a crystal structure of ScFeMo4 with its calculated powder diffractogram. Radiation: a wavelength of 1.5418 Å. Structure: the PBE geometry in Alexandria.

Lattice parameters (Å, degrees): 7.448 7.448 7.448 90.00 90.00 90.00
Space group F-43m (No. 216)
Asymmetric unit:
Sc 0.000 0.000 0.000 (multiplicity 4)
Fe 0.250 0.250 0.750 (multiplicity 4)
Mo 0.125 0.125 0.375 (multiplicity 16)

Main lines, in order of rising 2θ (2θ = 15–90°):
- 2θ = 20.66°, I = 39
- 2θ = 40.16°, I = 100
- 2θ = 42.02°, I = 62
- 2θ = 65.07°, I = 30
- 2θ = 71.68°, I = 29
- 2θ = 86.72°, I = 23